# CsNbBr5
Computed XRD peak list, Cu Ka. Input: a cell relaxed with PBE.
Kinematic intensities with the Lorentz-polarization factor, no thermal factor.

Atomic structure:
```
CsNbBr5
1.0
7.2086 -3.9302 0.0000
7.2086 3.9302 0.0000
-3.8778 0.0000 9.8517
Cs Nb Br
2 2 10
Direct
0.9999 0.0001 0.2500
0.0001 0.9999 0.7500
0.5000 0.5000 0.0000
0.5000 0.5000 0.5000
0.1323 0.5987 0.9330
0.1339 0.5938 0.4316
0.4013 0.8677 0.5670
0.4062 0.8661 0.0684
0.4993 0.5007 0.7500
0.5007 0.4993 0.2500
0.5938 0.1339 0.9316
0.5987 0.1323 0.4330
0.8661 0.4062 0.5684
0.8677 0.4013 0.0670
```

Top 10 peaks for 2θ = 5–70°, by angle:
6.708 Å, intensity 100
4.391 Å, intensity 35
3.674 Å, intensity 26
3.416 Å, intensity 87
3.391 Å, intensity 69
3.072 Å, intensity 93
2.647 Å, intensity 58
2.551 Å, intensity 98
2.086 Å, intensity 35
1.837 Å, intensity 72



# CsPrNb6Br18
Computed XRD peak list, Cu Ka. Input: a cell relaxed with PBE.
Kinematic intensities with the Lorentz-polarization factor, no thermal factor.

Atomic structure:
```
CsPrNb6Br18
1.0
10.0144 0.0000 0.0000
-5.0072 8.6727 0.0000
0.0000 0.0000 18.6183
Cs Pr Nb Br
2 2 12 36
Direct
0.3333 0.6667 0.2500
0.6667 0.3333 0.7500
0.3333 0.6667 0.7500
0.6667 0.3333 0.2500
0.0354 0.1856 0.5648
0.0354 0.8497 0.9352
0.1503 0.1856 0.9352
0.1503 0.9646 0.5648
0.1856 0.0354 0.0648
0.1856 0.1503 0.4352
0.8144 0.8497 0.5648
0.8144 0.9646 0.9352
0.8497 0.0354 0.4352
0.8497 0.8144 0.0648
0.9646 0.1503 0.0648
0.9646 0.8144 0.4352
0.0425 0.2280 0.3410
0.0425 0.8145 0.1590
0.0768 0.4413 0.6595
0.0768 0.6355 0.8405
0.1427 0.4129 0.0004
0.1427 0.7298 0.4996
0.1855 0.2280 0.1590
0.1855 0.9575 0.3410
0.2280 0.0425 0.8410
0.2280 0.1855 0.6590
0.2702 0.4129 0.4996
0.2702 0.8573 0.0004
0.3645 0.4413 0.8405
0.3645 0.9232 0.6595
0.4129 0.1427 0.5004
0.4129 0.2702 0.9996
0.4413 0.0768 0.1595
0.4413 0.3645 0.3405
0.5587 0.6355 0.6595
0.5587 0.9232 0.8405
0.5871 0.7298 0.0004
0.5871 0.8573 0.4996
0.6355 0.0768 0.3405
0.6355 0.5587 0.1595
0.7298 0.1427 0.9996
0.7298 0.5871 0.5004
0.7720 0.8145 0.3410
0.7720 0.9575 0.1590
0.8145 0.0425 0.6590
0.8145 0.7720 0.8410
0.8573 0.2702 0.5004
0.8573 0.5871 0.9996
0.9232 0.3645 0.1595
0.9232 0.5587 0.3405
0.9575 0.1855 0.8410
0.9575 0.7720 0.6590
```

Top 10 peaks for 2θ = 5–70°, by angle:
8.673 Å, intensity 81
6.346 Å, intensity 65
4.410 Å, intensity 33
3.092 Å, intensity 43
2.899 Å, intensity 74
2.680 Å, intensity 100
2.638 Å, intensity 38
2.460 Å, intensity 33
1.898 Å, intensity 30
1.883 Å, intensity 37



# Cs5Nb2S4Br9
Computed XRD peak list, Cu Ka. Input: a cell relaxed with PBE.
Kinematic intensities with the Lorentz-polarization factor, no thermal factor.

Atomic structure:
```
Cs5Nb2S4Br9
1.0
-3.8837 5.6001 8.5361
3.8837 -5.6001 8.5361
3.8837 5.6001 -8.5361
Cs Nb S Br
5 2 4 9
Direct
0.0000 0.0000 0.0000
0.0621 0.3379 0.7242
0.3863 0.6621 0.7242
0.6137 0.3379 0.2758
0.9379 0.6621 0.2758
0.4140 0.9140 0.5000
0.5860 0.0860 0.5000
0.4098 0.2281 0.6380
0.4098 0.7719 0.1817
0.5902 0.2281 0.8183
0.5902 0.7719 0.3620
0.0000 0.5000 0.5000
0.1289 0.8735 0.2553
0.2973 0.0362 0.7389
0.2973 0.5584 0.2611
0.3818 0.1265 0.2553
0.6182 0.8735 0.7447
0.7027 0.4416 0.7389
0.7027 0.9638 0.2611
0.8711 0.1265 0.7447
```

Top 10 peaks for 2θ = 5–70°, by angle:
3.884 Å, intensity 53
3.395 Å, intensity 100
3.191 Å, intensity 66
3.123 Å, intensity 77
2.989 Å, intensity 96
2.872 Å, intensity 48
2.800 Å, intensity 70
2.500 Å, intensity 77
1.686 Å, intensity 47
1.650 Å, intensity 48



# Cs2NdBr6
Computed XRD peak list, Cu Ka. Input: a cell relaxed with PBE.
Kinematic intensities with the Lorentz-polarization factor, no thermal factor.

Atomic structure:
```
Cs2NdBr6
1.0
4.6898 0.0000 0.0000
0.0000 7.9424 4.5763
0.0000 -7.9424 4.5763
Cs Nd Br
2 1 6
Direct
0.0000 0.1669 0.8331
0.0000 0.8331 0.1669
0.5000 0.5009 0.5009
0.0000 0.2757 0.5002
0.0000 0.5002 0.2757
0.0000 0.7259 0.7259
0.5000 0.1654 0.1654
0.5000 0.4998 0.8356
0.5000 0.8356 0.4998
```

Top 10 peaks for 2θ = 5–70°, by angle:
7.934 Å, intensity 34
4.581 Å, intensity 38
4.037 Å, intensity 26
3.277 Å, intensity 93
3.029 Å, intensity 59
2.645 Å, intensity 71
2.527 Å, intensity 100
2.345 Å, intensity 31
1.755 Å, intensity 41
1.624 Å, intensity 26